Starting from a cell relaxed with PBE, the X-ray powder pattern of Sm3Dy2PaP6 was calculated for CuKα.
Neutral-atom scattering factors, no anomalous dispersion.

The 10 most intense peaks (15 to 90 degrees two-theta), by intensity:
2θ (°), d (Å), intensity, hkl
31.28, 2.860, 100, 1 3 1
27.02, 3.300, 67, 2 0 0
44.77, 2.024, 37, 2 0 2
44.87, 2.020, 37, 0 6 0
53.11, 1.725, 26, 2 0 -4
26.94, 3.309, 23, 0 0 2
55.71, 1.650, 19, 4 0 0
82.70, 1.167, 19, 6 0 -2
74.20, 1.278, 17, 4 6 0
74.07, 1.280, 17, 3 3 3

Cell and atoms:
a b c (Å): 6.9982 12.1218 7.0153
angles (deg): 90.00 109.38 90.00
Space group C2/m (No. 12)
One atom of each set of equivalent atoms:
Sm 0.0000 0.0000 0.0000 x2
Sm 0.0000 0.3318 0.0000 x4
Dy 0.0000 0.1663 0.5000 x4
Pa 0.0000 0.5000 0.5000 x2
P 0.2437 0.3363 0.7405 x8
P 0.2468 0.5000 0.2600 x4